The following is a theoretical X-ray diffraction stick pattern of LiAcPd3. It was derived from a structure optimized by DFT (GGA-PBE), using copper Kα.
Kinematic intensities with the Lorentz-polarization factor, no thermal factor.

Structural model:
```
data_LiAcPd3
_chemical_formula_sum 'Li2 Ac2 Pd6'
_cell_length_a 4.392
_cell_length_b 4.392
_cell_length_c 10.201
_cell_angle_alpha 90.00
_cell_angle_beta 90.00
_cell_angle_gamma 90.00
_symmetry_space_group_name_H-M 'I 4 m m'
_symmetry_Int_Tables_number 107
_symmetry_space_group_name_Hall 'I 4 -2'
loop_
_atom_site_label
_atom_site_fract_x
_atom_site_fract_y
_atom_site_fract_z
_atom_site_occupancy
Li1 0.000 0.000 0.000 1
Ac1 0.000 0.000 0.350 1
Pd1 0.000 0.000 0.766 1
Pd2 0.000 0.500 0.104 1
```

Principal peaks in the range 2θ = 10–90°, in order of falling intensity:
d/Å, I/Imax, (hkl)
2.653, 100, 1 1 2
2.196, 36, 2 0 0
2.689, 27, 1 0 3
1.340, 24, 3 1 2
4.034, 21, 1 0 1
1.664, 15, 2 0 4
1.850, 15, 1 0 5
1.701, 14, 2 1 3
2.550, 13, 0 0 4
1.415, 12, 2 1 5